Structure and simulated powder XRD pattern of Pm2HoZn6 (a GGA-PBE-relaxed structure; Cu Kα, 1.54184 Å).

Top 6 peaks for 10° ≤ 2θ ≤ 90°, most intense first:
34.05°, rel. 100, (1 1 1); 39.81°, rel. 57, (3 0 0); 53.36°, rel. 27, (2 2 1); 68.60°, rel. 25, (4 1 1); 66.94°, rel. 23, (3 0 2); 22.67°, rel. 18, (1 1 0)

Cell and atoms:
```
Pm2HoZn6
1.0
7.843 0.000 0.000
-3.922 6.793 0.000
0.000 0.000 3.554
Pm Ho Zn
2 1 6
Cartesian
0.000 4.528 0.000 Pm
3.922 2.264 0.000 Pm
0.000 0.000 0.000 Ho
-1.295 2.242 1.777 Zn
-2.627 4.550 1.777 Zn
2.589 0.000 1.777 Zn
1.295 2.242 1.777 Zn
5.254 0.000 1.777 Zn
2.627 4.550 1.777 Zn
```